# 1
Theoretical powder diffractogram
Compound: PuZr6Ti
Radiation: Cu Kα (weighted mean of Kα1 and Kα2)
Structure: a PBE-relaxed structure
Intensities are scaled so that the largest is 100.

Largest 10 diffraction maxima, in order of rising 2θ, 2θ from 10° to 80°:
- 2θ = 18.53°, d 4.788, I 20, (1 1 1)
- 2θ = 27.17°, d 3.282, I 12, (1 1 3)
- 2θ = 34.68°, d 2.587, I 100, (2 2 0)
- 2θ = 40.10°, d 2.249, I 33, (2 0 4)
- 2θ = 40.56°, d 2.224, I 16, (0 4 0)
- 2θ = 58.12°, d 1.587, I 7, (4 0 0)
- 2θ = 58.36°, d 1.581, I 22, (2 4 4)
- 2θ = 69.29°, d 1.356, I 12, (2 2 8)
- 2θ = 69.47°, d 1.353, I 13, (4 2 4)
- 2θ = 70.02°, d 1.344, I 12, (2 6 0)

Cell and atoms:
```
data_PuZr6Ti
_chemical_formula_sum 'Pu4 Zr24 Ti4'
_cell_length_a 6.347
_cell_length_b 8.896
_cell_length_c 12.746
_cell_angle_alpha 90.00
_cell_angle_beta 90.00
_cell_angle_gamma 90.00
_symmetry_space_group_name_H-M 'F m m m'
_symmetry_Int_Tables_number 69
_symmetry_space_group_name_Hall '-F 2 2'
loop_
_atom_site_label
_atom_site_fract_x
_atom_site_fract_y
_atom_site_fract_z
Pu1 0.000 0.000 0.000
Zr1 0.000 0.000 0.258
Zr2 0.250 0.250 0.123
Ti1 0.000 0.000 0.500
```

=====

# 2
Theoretical powder diffractogram
Compound: NdErPtI
Radiation: Cu Kα (weighted mean of Kα1 and Kα2)
Structure: a PBE-relaxed structure
Intensities are scaled so that the largest is 100.

Largest 10 diffraction maxima, in order of rising 2θ, 2θ from 10° to 80°:
- 2θ = 11.03°, d 8.021, I 39, (0 0 3)
- 2θ = 25.66°, d 3.472, I 25, (0 1 2)
- 2θ = 30.87°, d 2.896, I 100, (0 1 5)
- 2θ = 36.00°, d 2.495, I 16, (1 0 7)
- 2θ = 43.21°, d 2.094, I 47, (1 1 0)
- 2θ = 45.23°, d 2.005, I 25, (1 0 10)
- 2θ = 54.04°, d 1.697, I 21, (2 0 5)
- 2θ = 55.76°, d 1.649, I 16, (1 0 13)
- 2θ = 64.33°, d 1.448, I 14, (0 2 10)
- 2θ = 71.58°, d 1.318, I 20, (1 2 5)

Cell and atoms:
```
data_NdErPtI
_chemical_formula_sum 'Nd3 Er3 Pt3 I3'
_cell_length_a 4.1875
_cell_length_b 4.1875
_cell_length_c 24.0617
_cell_angle_alpha 90.00
_cell_angle_beta 90.00
_cell_angle_gamma 120.00
_symmetry_space_group_name_H-M 'R 3 m'
_symmetry_Int_Tables_number 160
_symmetry_space_group_name_Hall 'R 3 -2"'
loop_
_atom_site_label
_atom_site_fract_x
_atom_site_fract_y
_atom_site_fract_z
Nd1 0.0000 0.0000 0.0000
Er1 0.0000 0.0000 0.2103
Pt1 0.0000 0.0000 0.6007
I1 0.0000 0.0000 0.7746
```

=====

# 3
Theoretical powder diffractogram
Compound: SrDy3Tl2
Radiation: Cu Kα (weighted mean of Kα1 and Kα2)
Structure: a PBE-relaxed structure
Intensities are scaled so that the largest is 100.

Largest 10 diffraction maxima, in order of rising 2θ, 2θ from 10° to 80°:
- 2θ = 28.81°, d 3.099, I 18, (2 0 -3)
- 2θ = 29.11°, d 3.068, I 24, (2 0 2)
- 2θ = 29.76°, d 3.002, I 35, (1 1 2)
- 2θ = 31.26°, d 2.861, I 100, (5 1 -1)
- 2θ = 32.62°, d 2.745, I 55, (0 2 0)
- 2θ = 33.18°, d 2.700, I 39, (3 1 -3)
- 2θ = 37.83°, d 2.378, I 16, (3 1 2)
- 2θ = 44.09°, d 2.054, I 15, (2 2 -3)
- 2θ = 44.28°, d 2.046, I 15, (2 2 2)
- 2θ = 57.36°, d 1.606, I 19, (5 3 -1)

Cell and atoms:
```
data_SrDy3Tl2
_chemical_formula_sum 'Sr4 Dy12 Tl8'
_cell_length_a 16.876
_cell_length_b 5.490
_cell_length_c 9.351
_cell_angle_alpha 90.00
_cell_angle_beta 117.67
_cell_angle_gamma 90.00
_symmetry_space_group_name_H-M 'C 1 2/m 1'
_symmetry_Int_Tables_number 12
_symmetry_space_group_name_Hall '-C 2y'
loop_
_atom_site_label
_atom_site_fract_x
_atom_site_fract_y
_atom_site_fract_z
Sr1 0.132 0.000 0.187
Dy1 0.063 0.000 0.711
Dy2 0.113 0.500 0.528
Dy3 0.193 0.500 0.985
Tl1 0.010 0.500 0.167
Tl2 0.223 0.000 0.614
```

=====

# 4
Theoretical powder diffractogram
Compound: Mg7In2Pd
Radiation: Cu Kα (weighted mean of Kα1 and Kα2)
Structure: a PBE-relaxed structure
Intensities are scaled so that the largest is 100.

Largest 10 diffraction maxima, in order of rising 2θ, 2θ from 10° to 80°:
- 2θ = 21.03°, d 4.224, I 64, (0 2 0)
- 2θ = 22.80°, d 3.901, I 100, (1 1 -2)
- 2θ = 24.95°, d 3.569, I 25, (4 0 -2)
- 2θ = 26.44°, d 3.371, I 58, (3 1 0)
- 2θ = 32.85°, d 2.727, I 59, (4 2 -2)
- 2θ = 37.15°, d 2.420, I 22, (3 3 -1)
- 2θ = 37.39°, d 2.405, I 32, (2 0 2)
- 2θ = 37.96°, d 2.370, I 63, (1 3 -2)
- 2θ = 40.36°, d 2.235, I 59, (5 1 -4)
- 2θ = 43.29°, d 2.090, I 26, (2 2 2)

Cell and atoms:
```
data_Mg7In2Pd
_chemical_formula_sum 'Mg28 In8 Pd4'
_cell_length_a 14.433
_cell_length_b 8.448
_cell_length_c 9.516
_cell_angle_alpha 90.00
_cell_angle_beta 130.17
_cell_angle_gamma 90.00
_symmetry_space_group_name_H-M 'C 1 2/c 1'
_symmetry_Int_Tables_number 15
_symmetry_space_group_name_Hall '-C 2yc'
loop_
_atom_site_label
_atom_site_fract_x
_atom_site_fract_y
_atom_site_fract_z
Mg1 0.000 0.174 0.250
Mg2 0.103 0.379 0.110
Mg3 0.129 0.244 0.786
Mg4 0.223 0.407 0.531
In1 0.133 0.033 0.075
Pd1 0.000 0.496 0.750
```

=====

- What is the formula in the first record?
  PuZr6Ti